Record 1
For AcNd4Os, a crystal structure in Alexandria, relaxed with GGA-PBE gives the theoretical powder diffraction line list in this record (Cu Kα, 1.54184 Å).

Crystal structure
a b c (Å): 17.2281 6.8191 7.6231
angles (deg): 90.00 107.00 90.00
Space group C2/c (No. 15)
One atom of each set of equivalent atoms:
1 Ac 0.0000 0.0645 0.2500 (multiplicity 4)
2 Nd 0.0994 0.4139 0.9799 (multiplicity 8)
3 Nd 0.1977 0.0948 0.6401 (multiplicity 8)
4 Os 0.2500 0.2500 0.0000 (multiplicity 4)

Principal peaks in the range 15 to 90 degrees two-theta, low angle first:
2θ (°)	Rel. int.	(hkl)
27.53	21	4 0 -2
29.63	100	2 2 -1
30.12	46	5 1 0
38.18	17	1 1 -3
38.32	17	4 2 -2
46.30	31	3 3 1


Record 2
For Li2LaCo, a crystal structure in Alexandria, relaxed with GGA-PBE gives the theoretical powder diffraction line list in this record (Cu Kα, 1.54184 Å).

Crystal structure
a b c (Å): 5.2646 5.5741 10.9014
angles (deg): 90.00 90.00 90.00
Space group Fmmm (No. 69)
One atom of each set of equivalent atoms:
1 Li 0.0000 0.2500 0.2500 (multiplicity 8)
2 La 0.0000 0.0000 0.0000 (multiplicity 4)
3 Co 0.0000 0.0000 0.5000 (multiplicity 4)

Principal peaks in the range 15 to 90 degrees two-theta, low angle first:
2θ (°)	Rel. int.	(hkl)
16.26	100	0 0 2
24.65	23	1 1 1
34.05	30	2 0 0
36.20	34	0 2 2
37.96	24	2 0 2
50.55	26	2 2 2